Entry 1:
# NaP2Cl8
Simulated PXRD pattern, Cu Kα (weighted mean of Kα1 and Kα2). Input: a cell relaxed with PBE.
Neutral-atom scattering factors, no anomalous dispersion.

Cell and atoms:
```
NaP2Cl8
1.0
5.022 -5.427 0.000
5.022 5.427 0.000
-1.752 0.000 7.274
Na P Cl
1 2 8
Cartesian
0.000 0.000 0.000
1.065 0.000 4.458
7.226 0.000 2.816
0.242 1.634 5.501
1.876 0.000 1.864
0.242 -1.634 5.501
2.969 0.000 5.170
5.322 0.000 2.104
8.049 1.634 1.773
6.415 0.000 5.409
8.049 -1.634 1.773
```

Principal peaks in the range 10 to 80 degrees two-theta, sorted by position:
12.18 deg, rel. 19
16.33 deg, rel. 100
18.17 deg, rel. 32
18.71 deg, rel. 43
24.48 deg, rel. 68
25.44 deg, rel. 64
28.10 deg, rel. 27
28.63 deg, rel. 22
33.72 deg, rel. 26
34.66 deg, rel. 40
38.56 deg, rel. 28
41.73 deg, rel. 20

Entry 2:
# MgAs2Ir
Simulated PXRD pattern, Cu Kα (weighted mean of Kα1 and Kα2). Input: a cell relaxed with PBE.
Neutral-atom scattering factors, no anomalous dispersion.

Cell and atoms:
```
MgAs2Ir
1.0
-1.511 1.795 6.783
1.511 -1.795 6.783
1.511 1.795 -6.783
Mg As Ir
1 2 1
Cartesian
0.000 0.000 0.000
0.000 0.000 8.250
0.000 1.795 4.440
1.511 0.000 3.295
```

Principal peaks in the range 10 to 80 degrees two-theta, sorted by position:
13.05 deg, rel. 100
30.31 deg, rel. 27
31.83 deg, rel. 43
35.74 deg, rel. 19
41.26 deg, rel. 60
41.73 deg, rel. 34
44.90 deg, rel. 13
47.61 deg, rel. 18
50.88 deg, rel. 12
56.41 deg, rel. 15
76.97 deg, rel. 11
79.38 deg, rel. 11

Entry 3:
# Tb8Pr2Mg
Simulated PXRD pattern, Cu Kα (weighted mean of Kα1 and Kα2). Input: a cell relaxed with PBE.
Neutral-atom scattering factors, no anomalous dispersion.

Cell and atoms:
```
Tb8Pr2Mg
1.0
-2.781 3.871 8.416
2.781 -3.871 8.416
2.781 3.871 -8.416
Tb Pr Mg
8 2 1
Cartesian
2.781 2.155 -2.265
0.000 0.000 2.921
0.000 2.072 0.000
2.781 2.155 2.265
0.000 1.716 6.152
0.000 5.671 0.000
0.000 0.000 13.911
0.000 1.716 10.681
2.781 0.000 5.124
0.000 3.871 3.292
2.781 0.000 0.000
```

Principal peaks in the range 10 to 80 degrees two-theta, sorted by position:
25.32 deg, rel. 19
31.05 deg, rel. 34
31.90 deg, rel. 14
32.19 deg, rel. 33
32.38 deg, rel. 100
41.40 deg, rel. 10
45.95 deg, rel. 10
49.29 deg, rel. 14
57.35 deg, rel. 10
57.52 deg, rel. 19
58.06 deg, rel. 10
60.10 deg, rel. 15

Entry 4:
# Ti2Cu2Pd5
Simulated PXRD pattern, Cu Kα (weighted mean of Kα1 and Kα2). Input: a cell relaxed with PBE.
Neutral-atom scattering factors, no anomalous dispersion.

Cell and atoms:
```
Ti2Cu2Pd5
1.0
6.036 -4.098 0.000
6.036 4.098 0.000
-1.275 0.000 5.368
Ti Cu Pd
4 4 10
Cartesian
5.398 2.879 2.684
3.729 1.385 0.712
3.092 -1.385 3.396
6.036 -2.879 0.000
3.108 1.446 3.423
3.746 -1.446 0.739
7.642 1.293 1.603
7.004 -1.293 4.287
1.000 0.082 4.412
4.731 2.626 5.343
1.638 -0.082 1.729
5.224 0.183 2.403
6.932 1.395 4.269
4.587 -0.183 5.087
5.369 -2.626 2.659
7.569 -1.395 1.585
9.226 0.047 3.525
9.863 -0.047 0.841
```

Principal peaks in the range 10 to 80 degrees two-theta, sorted by position:
25.21 deg, rel. 6
27.38 deg, rel. 3
29.43 deg, rel. 3
37.70 deg, rel. 4
39.93 deg, rel. 56
40.04 deg, rel. 50
40.26 deg, rel. 100
46.39 deg, rel. 33
46.80 deg, rel. 63
67.95 deg, rel. 29
68.09 deg, rel. 17
68.72 deg, rel. 8

Number 4 is which compound?
Ti2Cu2Pd5

Copy entry 4 word for word.
# Ti2Cu2Pd5
Simulated PXRD pattern, Cu Kα (weighted mean of Kα1 and Kα2). Input: a cell relaxed with PBE.
Neutral-atom scattering factors, no anomalous dispersion.

Cell and atoms:
```
Ti2Cu2Pd5
1.0
6.036 -4.098 0.000
6.036 4.098 0.000
-1.275 0.000 5.368
Ti Cu Pd
4 4 10
Cartesian
5.398 2.879 2.684
3.729 1.385 0.712
3.092 -1.385 3.396
6.036 -2.879 0.000
3.108 1.446 3.423
3.746 -1.446 0.739
7.642 1.293 1.603
7.004 -1.293 4.287
1.000 0.082 4.412
4.731 2.626 5.343
1.638 -0.082 1.729
5.224 0.183 2.403
6.932 1.395 4.269
4.587 -0.183 5.087
5.369 -2.626 2.659
7.569 -1.395 1.585
9.226 0.047 3.525
9.863 -0.047 0.841
```

Principal peaks in the range 10 to 80 degrees two-theta, sorted by position:
25.21 deg, rel. 6
27.38 deg, rel. 3
29.43 deg, rel. 3
37.70 deg, rel. 4
39.93 deg, rel. 56
40.04 deg, rel. 50
40.26 deg, rel. 100
46.39 deg, rel. 33
46.80 deg, rel. 63
67.95 deg, rel. 29
68.09 deg, rel. 17
68.72 deg, rel. 8